No. 1
Calculated XRD peak list
Compound: RbCrReO6
Radiation: Cu Kα (λ = 1.5418 Å)
Structure: a crystal structure in Alexandria, relaxed with GGA+U
Kinematic intensities with the Lorentz-polarization factor, no thermal factor.

```
RbCrReO6
1.0
2.541 -4.614 0.000
2.541 4.614 0.000
-0.185 0.000 6.290
Rb Cr Re O
1 1 1 6
direct
0.000 0.000 0.000 Rb
0.654 0.346 0.500 Cr
0.332 0.668 0.500 Re
0.001 0.590 0.675 O
0.006 0.421 0.320 O
0.380 0.393 0.665 O
0.410 0.999 0.325 O
0.579 0.994 0.680 O
0.607 0.620 0.335 O
```

Largest 12 diffraction maxima, in order of falling intensity, 5 to 70 degrees two-theta:
2θ/deg	Rel. int.
14.08	100
24.20	84
24.80	82
23.92	78
34.07	47
44.56	42
19.95	36
45.25	33
28.38	33
35.35	27
46.62	19
36.82	17


No. 2
Calculated XRD peak list
Compound: NaCaMn2F8
Radiation: Cu Kα (λ = 1.5418 Å)
Structure: a crystal structure in Alexandria, relaxed with GGA+U
Kinematic intensities with the Lorentz-polarization factor, no thermal factor.

```
NaCaMn2F8
1.0
-2.662 2.662 5.186
2.662 -2.662 5.186
2.662 2.662 -5.186
Na Ca Mn F
1 1 2 8
direct
0.000 0.000 0.000 Na
0.750 0.250 0.500 Ca
0.250 0.750 0.500 Mn
0.500 0.500 0.000 Mn
0.147 0.130 0.527 F
0.147 0.620 0.017 F
0.380 0.397 0.527 F
0.380 0.853 0.983 F
0.603 0.130 0.983 F
0.603 0.620 0.473 F
0.870 0.397 0.017 F
0.870 0.853 0.473 F
```

Largest 12 diffraction maxima, in order of falling intensity, 5 to 70 degrees two-theta:
2θ/deg	Rel. int.
29.31	100
49.04	71
48.35	37
57.55	26
18.73	20
58.78	12
46.30	3
63.64	2
38.80	2
58.45	2
30.84	1
59.06	1